Computed X-ray powder pattern
Compound: Tb2AgHPd6
Radiation: Cu Kα
Structure: a crystal structure in Alexandria, relaxed with GGA-PBE
No peak broadening, texture or thermal motion is included.

Structural model:
```
Tb2AgHPd6
1.0
5.568 0.000 0.000
2.607 4.931 0.000
2.552 1.540 6.346
Tb Ag H Pd
2 1 1 6
direct
0.244 0.243 0.192 Tb
0.756 0.757 0.808 Tb
0.000 0.000 0.000 Ag
0.500 0.500 0.500 H
0.171 0.681 0.362 Pd
0.297 0.299 0.736 Pd
0.317 0.831 0.637 Pd
0.683 0.169 0.363 Pd
0.703 0.701 0.264 Pd
0.829 0.319 0.638 Pd
```

Top 10 peaks for 10° ≤ 2θ ≤ 90°, sorted by position:
| 2θ (°) | d_spacing | Rel. int. |
| --- | --- | --- |
| 28.12 | 3.173 | 28 |
| 34.23 | 2.619 | 49 |
| 37.55 | 2.395 | 93 |
| 37.86 | 2.376 | 58 |
| 38.62 | 2.331 | 57 |
| 39.22 | 2.297 | 24 |
| 41.56 | 2.173 | 100 |
| 41.87 | 2.158 | 48 |
| 43.43 | 2.084 | 37 |
| 53.02 | 1.727 | 24 |

=====

Computed X-ray powder pattern
Compound: Y2AgHPd6
Radiation: Cu Kα
Structure: a crystal structure in Alexandria, relaxed with GGA-PBE
No peak broadening, texture or thermal motion is included.

Structural model:
```
Y2AgHPd6
1.0
5.562 0.000 0.000
2.603 4.928 0.000
2.574 1.554 6.351
Y Ag H Pd
2 1 1 6
direct
0.000 0.000 0.000 Y
0.491 0.488 0.377 Y
0.245 0.244 0.189 Ag
0.747 0.746 0.695 H
0.075 0.563 0.827 Pd
0.416 0.925 0.551 Pd
0.543 0.542 0.923 Pd
0.563 0.075 0.826 Pd
0.928 0.413 0.552 Pd
0.947 0.946 0.454 Pd
```

Top 10 peaks for 10° ≤ 2θ ≤ 90°, sorted by position:
| 2θ (°) | d_spacing | Rel. int. |
| --- | --- | --- |
| 20.42 | 4.349 | 23 |
| 34.24 | 2.619 | 50 |
| 37.56 | 2.395 | 48 |
| 37.65 | 2.389 | 25 |
| 37.92 | 2.373 | 61 |
| 38.53 | 2.337 | 52 |
| 39.21 | 2.298 | 22 |
| 41.53 | 2.174 | 100 |
| 41.94 | 2.154 | 40 |
| 43.49 | 2.081 | 51 |